Entry 1:
Diffraction record for TbNdSn6. The powder XRD pattern is computed, not measured: it uses a PBE-relaxed structure and Cu Kα (λ = 1.5418 Å).
Lines closer than 0.1° are merged.

Most intense lines, 2θ = 10–90°, sorted by position:
d [Å]  Rel. int.
4.750  1.1
3.359  0.9
2.742  100.0
2.375  50.5
1.679  35.6
1.432  42.5
1.371  12.3
1.187  6.0

Structural model:
a = 4.7493 Å, b = 4.7493 Å, c = 9.5025 Å
α = 90.00°, β = 90.00°, γ = 90.00°
Space group P4/mmm (No. 123)
One atom of each set of equivalent atoms:
Tb (0.0000, 0.0000, 0.0000)
Nd (0.0000, 0.0000, 0.5000)
Sn (0.0000, 0.5000, 0.2457)
Sn (0.5000, 0.5000, 0.0000)
Sn (0.5000, 0.5000, 0.5000)

---

Entry 2:
Diffraction record for Nd10Sn3Te3. The powder XRD pattern is computed, not measured: it uses a PBE-relaxed structure and Cu Kα (λ = 1.5418 Å).
Lines closer than 0.1° are merged.

Most intense lines, 2θ = 10–90°, sorted by position:
d [Å]  Rel. int.
3.264  17.7
3.066  31.0
3.028  17.4
2.775  100.0
2.704  57.1
2.678  85.8
1.903  23.5
1.774  26.9
1.453  15.4
1.397  15.0

Structural model:
a = 9.3668 Å, b = 9.3668 Å, c = 6.5271 Å
α = 90.00°, β = 90.00°, γ = 120.00°
Space group P-62m (No. 189)
One atom of each set of equivalent atoms:
Nd (0.0000, 0.2492, 0.0000)
Nd (0.0000, 0.7517, 0.5000)
Nd (0.3333, 0.6667, 0.2512)
Sn (0.0000, 0.3885, 0.5000)
Te (0.0000, 0.6157, 0.0000)

---

Entry 3:
Diffraction record for Nd2SnTe. The powder XRD pattern is computed, not measured: it uses a PBE-relaxed structure and Cu Kα (λ = 1.5418 Å).
Lines closer than 0.1° are merged.

Most intense lines, 2θ = 10–90°, sorted by position:
d [Å]  Rel. int.
3.203  100.0
2.272  38.6
2.258  38.4
1.861  6.9
1.846  20.8
1.602  13.1
1.436  17.9
1.429  18.0
1.306  13.3
1.304  6.7

Structural model:
a = 4.5168 Å, b = 4.5168 Å, c = 22.3270 Å
α = 90.00°, β = 90.00°, γ = 120.00°
Space group R-3m (No. 166, hexagonal axes)
One atom of each set of equivalent atoms:
Nd (0.0000, 0.0000, 0.2470)
Sn (0.0000, 0.0000, 0.5000)
Te (0.0000, 0.0000, 0.0000)